For Ti3Cr17Si12, a structure optimized by DFT (PBE) gives the simulated XRD peak list in this record (CuKα).

Crystal structure
```
Ti3Cr17Si12
1.0
12.9782 0.0000 0.0000
0.0000 6.4869 2.3186
0.0000 -6.4869 2.3186
Ti Cr Si
3 17 12
direct
0.0000 0.0000 0.0000
0.0000 0.4999 0.4999
0.5000 0.9996 0.9996
0.1024 0.0777 0.4224
0.1024 0.4224 0.0777
0.1737 0.6481 0.8521
0.1737 0.8521 0.6481
0.3289 0.1468 0.3503
0.3289 0.3503 0.1468
0.3999 0.5804 0.9248
0.3999 0.9248 0.5804
0.5000 0.5009 0.5009
0.6001 0.5804 0.9248
0.6001 0.9248 0.5804
0.6711 0.1468 0.3503
0.6711 0.3503 0.1468
0.8263 0.6481 0.8521
0.8263 0.8521 0.6481
0.8976 0.0777 0.4224
0.8976 0.4224 0.0777
0.0000 0.5754 0.9254
0.0000 0.9254 0.5754
0.1755 0.2488 0.2488
0.2507 0.2506 0.7499
0.2507 0.7499 0.2506
0.3279 0.7415 0.7415
0.5000 0.0882 0.4333
0.5000 0.4333 0.0882
0.6721 0.7415 0.7415
0.7493 0.2506 0.7499
0.7493 0.7499 0.2506
0.8245 0.2488 0.2488
```

Main lines, sorted by position (5° ≤ 2θ ≤ 70°):
Position (°2θ), I (rel.)
29.1, 8.7
38.8, 24.0
39.3, 19.0
40.4, 44.7
41.8, 9.8
43.7, 37.0
44.1, 46.8
45.2, 100.0
48.2, 45.1
57.6, 7.2